Theoretical powder diffraction line list of La6Bi2NO for λ = 1.5418 Å (Cu Kα), from a crystal structure in Alexandria, relaxed with GGA-PBE.
Intensities are scaled so that the largest is 100.

Top 10 peaks for 10 to 90 degrees two-theta, in order of rising 2θ:
2theta	I/Imax
30.37	100
35.21	56
50.64	40
60.20	44
63.18	14
74.44	6
82.43	9
82.51	9
85.07	9
85.14	9

Structure:
Unit cell a=7.2063 b=7.2172 c=10.1913 alpha=90.00 beta=90.00 gamma=90.00
Space group Immm (No. 71)
Inequivalent atoms, fractional coordinates:
La  0.0000  0.0000  0.2483 [4 per cell]
La  0.2482  0.2482  0.0000 [8 per cell]
Bi  0.0000  0.5000  0.2500 [4 per cell]
N  0.0000  0.0000  0.0000 [2 per cell]
O  0.0000  0.0000  0.5000 [2 per cell]

=====

Theoretical powder diffraction line list of La4BiP2N for λ = 1.5418 Å (Cu Kα), from a crystal structure in Alexandria, relaxed with GGA-PBE.
Intensities are scaled so that the largest is 100.

Top 10 peaks for 10 to 90 degrees two-theta, in order of rising 2θ:
2theta	I/Imax
11.95	11
26.90	57
28.41	100
30.30	15
34.21	12
37.55	21
41.42	12
42.73	14
51.22	20
51.69	22

Structure:
Unit cell a=4.2320 b=14.8377 c=14.8135 alpha=90.00 beta=90.00 gamma=90.00
Space group Cmcm (No. 63)
Inequivalent atoms, fractional coordinates:
La  0.0000  0.0000  0.0000 [4 per cell]
La  0.0000  0.2555  0.1230 [8 per cell]
La  0.0000  0.4195  0.7500 [4 per cell]
Bi  0.0000  0.1016  0.7500 [4 per cell]
P  0.0000  0.3693  0.5511 [8 per cell]
N  0.0000  0.1661  0.2500 [4 per cell]

=====

Theoretical powder diffraction line list of La4Sm2Bi3N2 for λ = 1.5418 Å (Cu Kα), from a crystal structure in Alexandria, relaxed with GGA-PBE.
Intensities are scaled so that the largest is 100.

Top 10 peaks for 10 to 90 degrees two-theta, in order of rising 2θ:
2theta	I/Imax
18.45	15
26.63	33
29.03	19
32.67	100
33.17	16
36.78	53
50.36	20
52.99	19
61.09	15
63.66	30

Structure:
Unit cell a=4.8873 b=4.8873 c=27.0103 alpha=90.00 beta=90.00 gamma=90.00
Space group I4/mmm (No. 139)
Inequivalent atoms, fractional coordinates:
La  0.0000  0.5000  0.0854 [8 per cell]
Sm  0.0000  0.0000  0.1930 [4 per cell]
Bi  0.0000  0.0000  0.3176 [4 per cell]
Bi  0.0000  0.0000  0.5000 [2 per cell]
N  0.0000  0.0000  0.1090 [4 per cell]

=====

Theoretical powder diffraction line list of La4SnBiN for λ = 1.5418 Å (Cu Kα), from a crystal structure in Alexandria, relaxed with GGA-PBE.
Intensities are scaled so that the largest is 100.

Top 10 peaks for 10 to 90 degrees two-theta, in order of rising 2θ:
2theta	I/Imax
25.80	24
27.67	77
29.78	36
30.86	19
32.69	100
36.81	64
48.04	39
57.76	16
63.65	15
63.77	15

Structure:
Unit cell a=6.9176 b=18.0012 c=6.8960 alpha=90.00 beta=90.00 gamma=90.00
Space group Cmcm (No. 63)
Inequivalent atoms, fractional coordinates:
La  0.0000  0.0703  0.2500 [4 per cell]
La  0.0000  0.4133  0.2500 [4 per cell]
La  0.2500  0.2500  0.0000 [8 per cell]
Sn  0.0000  0.1114  0.7500 [4 per cell]
Bi  0.0000  0.3916  0.7500 [4 per cell]
N  0.0000  0.2814  0.2500 [4 per cell]